# Nd5Dy2TmSc
Simulated X-ray powder pattern, Cu Kα, 1.54184 Å. Input: the GGA-PBE geometry in Alexandria.
Neutral-atom scattering factors, no anomalous dispersion.

Most intense lines, 2θ = 10–80°, most intense first:
- 2θ = 31.65°, d = 2.827 Å, intensity 100
- 2θ = 33.39°, d = 2.684 Å, intensity 41
- 2θ = 27.00°, d = 3.302 Å, intensity 35
- 2θ = 58.56°, d = 1.576 Å, intensity 17
- 2θ = 35.08°, d = 2.558 Å, intensity 17
- 2θ = 32.75°, d = 2.734 Å, intensity 14

Structure:
abc: 11.2622 11.2622 10.2314
angles: 90.00 90.00 152.41
Sites, in units of the cell vectors:
1 Nd 0.0001 0.9999 0.0000
2 Nd 0.9999 0.0001 0.5000
3 Nd 0.1273 0.8727 0.7502
4 Nd 0.2215 0.7785 0.0626
5 Nd 0.2211 0.7789 0.4384
6 Nd 0.5000 0.5000 0.2501
7 Nd 0.5000 0.5000 0.7501
8 Nd 0.7785 0.2215 0.5626
9 Nd 0.7789 0.2211 0.9384
10 Nd 0.8727 0.1273 0.2502
11 Dy 0.3845 0.6155 0.5019
12 Dy 0.3848 0.6152 0.9983
13 Dy 0.6155 0.3845 0.0019
14 Dy 0.6152 0.3848 0.4983
15 Tm 0.1017 0.8983 0.2501
16 Tm 0.8983 0.1017 0.7501
17 Sc 0.2880 0.7120 0.7505
18 Sc 0.7120 0.2880 0.2505



# K7Rb3In
Simulated X-ray powder pattern, Cu Kα, 1.54184 Å. Input: the GGA-PBE geometry in Alexandria.
Neutral-atom scattering factors, no anomalous dispersion.

Most intense lines, 2θ = 10–80°, most intense first:
- 2θ = 25.52°, d = 3.490 Å, intensity 100
- 2θ = 25.85°, d = 3.447 Å, intensity 72
- 2θ = 23.86°, d = 3.729 Å, intensity 61
- 2θ = 14.39°, d = 6.154 Å, intensity 43
- 2θ = 19.62°, d = 4.525 Å, intensity 40
- 2θ = 12.77°, d = 6.935 Å, intensity 36

Structure:
abc: 8.5679 8.5679 11.9436
angles: 95.65 95.65 114.98
Sites, in units of the cell vectors:
1 K 0.0000 0.0000 0.0000
2 K 0.2857 0.8236 0.4450
3 K 0.5179 0.5179 0.1261
4 K 0.5345 0.9992 0.1326
5 K 0.8236 0.2857 0.4450
6 K 0.8285 0.8285 0.5922
7 K 0.9992 0.5345 0.1326
8 Rb 0.2318 0.5775 0.7864
9 Rb 0.3125 0.3125 0.4141
10 Rb 0.5775 0.2318 0.7864
11 In 0.8961 0.8961 0.2922



# NaSbCl
Simulated X-ray powder pattern, Cu Kα, 1.54184 Å. Input: the GGA-PBE geometry in Alexandria.
Neutral-atom scattering factors, no anomalous dispersion.

Most intense lines, 2θ = 10–80°, most intense first:
- 2θ = 33.10°, d = 2.707 Å, intensity 100
- 2θ = 14.90°, d = 5.947 Å, intensity 85
- 2θ = 27.71°, d = 3.219 Å, intensity 45
- 2θ = 32.51°, d = 2.754 Å, intensity 36
- 2θ = 47.51°, d = 1.914 Å, intensity 35
- 2θ = 22.43°, d = 3.964 Å, intensity 34

Structure:
abc: 3.8270 3.8285 11.8937
angles: 90.00 90.49 90.00
Sites, in units of the cell vectors:
1 Na 0.2469 0.2500 0.3861
2 Na 0.7531 0.7500 0.6139
3 Sb 0.2512 0.2500 0.0610
4 Sb 0.7488 0.7500 0.9390
5 Cl 0.2537 0.2500 0.6275
6 Cl 0.7463 0.7500 0.3725



# NbBi2S2
Simulated X-ray powder pattern, Cu Kα, 1.54184 Å. Input: the GGA-PBE geometry in Alexandria.
Neutral-atom scattering factors, no anomalous dispersion.

Most intense lines, 2θ = 10–80°, most intense first:
- 2θ = 33.15°, d = 2.702 Å, intensity 100
- 2θ = 20.72°, d = 4.286 Å, intensity 60
- 2θ = 25.59°, d = 3.482 Å, intensity 58
- 2θ = 42.34°, d = 2.135 Å, intensity 39
- 2θ = 36.50°, d = 2.462 Å, intensity 36
- 2θ = 49.97°, d = 1.825 Å, intensity 21

Structure:
abc: 7.7850 7.7850 4.2861
angles: 90.00 90.00 90.00
Sites, in units of the cell vectors:
1 Nb 0.0000 0.0000 0.0000
2 Nb 0.5000 0.5000 0.0000
3 Bi 0.1519 0.3481 0.0000
4 Bi 0.3481 0.8481 0.0000
5 Bi 0.6519 0.1519 0.0000
6 Bi 0.8481 0.6519 0.0000
7 S 0.1985 0.6985 0.5000
8 S 0.3015 0.1985 0.5000
9 S 0.6985 0.8015 0.5000
10 S 0.8015 0.3015 0.5000



# Li2ZnAg4
Simulated X-ray powder pattern, Cu Kα, 1.54184 Å. Input: the GGA-PBE geometry in Alexandria.
Neutral-atom scattering factors, no anomalous dispersion.

Most intense lines, 2θ = 10–80°, most intense first:
- 2θ = 18.95°, d = 4.683 Å, intensity 100
- 2θ = 20.15°, d = 4.408 Å, intensity 96
- 2θ = 41.85°, d = 2.159 Å, intensity 83
- 2θ = 36.02°, d = 2.494 Å, intensity 75
- 2θ = 43.46°, d = 2.082 Å, intensity 62
- 2θ = 44.97°, d = 2.016 Å, intensity 55

Structure:
abc: 4.9946 8.8156 5.5352
angles: 90.00 93.15 90.00
Sites, in units of the cell vectors:
1 Li 0.2403 0.0240 0.4553
2 Li 0.2403 0.4760 0.9553
3 Li 0.7597 0.5240 0.0447
4 Li 0.7597 0.9760 0.5447
5 Zn 0.5000 0.0000 0.0000
6 Zn 0.5000 0.5000 0.5000
7 Ag 0.0272 0.1671 0.9901
8 Ag 0.0272 0.3329 0.4901
9 Ag 0.4633 0.7470 0.7587
10 Ag 0.4633 0.7530 0.2587
11 Ag 0.5367 0.2470 0.7413
12 Ag 0.5367 0.2530 0.2413
13 Ag 0.9728 0.6671 0.5099
14 Ag 0.9728 0.8329 0.0099



# Ta2AsOs
Simulated X-ray powder pattern, Cu Kα, 1.54184 Å. Input: the GGA-PBE geometry in Alexandria.
Neutral-atom scattering factors, no anomalous dispersion.

Most intense lines, 2θ = 10–80°, most intense first:
- 2θ = 38.60°, d = 2.333 Å, intensity 100
- 2θ = 39.10°, d = 2.304 Å, intensity 62
- 2θ = 46.21°, d = 1.965 Å, intensity 20
- 2θ = 70.51°, d = 1.336 Å, intensity 20
- 2θ = 50.12°, d = 1.820 Å, intensity 16
- 2θ = 64.98°, d = 1.435 Å, intensity 14

Structure:
abc: 3.0198 3.6401 6.1647
angles: 90.00 99.81 90.00
Sites, in units of the cell vectors:
1 Ta 0.0548 0.0000 0.2453
2 Ta 0.9452 0.0000 0.7547
3 As 0.5000 0.5000 0.5000
4 Os 0.5000 0.5000 0.0000



# Nd3SeS3
Simulated X-ray powder pattern, Cu Kα, 1.54184 Å. Input: the GGA-PBE geometry in Alexandria.
Neutral-atom scattering factors, no anomalous dispersion.

Most intense lines, 2θ = 10–80°, most intense first:
- 2θ = 32.99°, d = 2.715 Å, intensity 100
- 2θ = 38.84°, d = 2.319 Å, intensity 75
- 2θ = 16.32°, d = 5.431 Å, intensity 67
- 2θ = 25.25°, d = 3.527 Å, intensity 59
- 2θ = 31.88°, d = 2.807 Å, intensity 38
- 2θ = 54.41°, d = 1.686 Å, intensity 30

Structure:
abc: 5.8919 5.8919 5.8919
angles: 103.84 103.84 103.84
Sites, in units of the cell vectors:
1 Nd 0.1759 0.1759 0.6481
2 Nd 0.1759 0.6481 0.1759
3 Nd 0.6481 0.1759 0.1759
4 Se 0.1226 0.1226 0.1226
5 S 0.0116 0.5771 0.5771
6 S 0.5771 0.0116 0.5771
7 S 0.5771 0.5771 0.0116



# NaLa3Ir
Simulated X-ray powder pattern, Cu Kα, 1.54184 Å. Input: the GGA-PBE geometry in Alexandria.
Neutral-atom scattering factors, no anomalous dispersion.

Most intense lines, 2θ = 10–80°, most intense first:
- 2θ = 10.52°, d = 8.411 Å, intensity 100
- 2θ = 29.64°, d = 3.013 Å, intensity 99
- 2θ = 10.26°, d = 8.619 Å, intensity 58
- 2θ = 27.63°, d = 3.228 Å, intensity 48
- 2θ = 43.26°, d = 2.091 Å, intensity 36
- 2θ = 27.94°, d = 3.193 Å, intensity 31

Structure:
abc: 9.7878 4.2155 9.8069
angles: 90.00 118.29 90.00
Sites, in units of the cell vectors:
1 Na 0.0966 0.2500 0.1499
2 Na 0.9034 0.7500 0.8501
3 La 0.1280 0.2500 0.6927
4 La 0.3398 0.7500 0.4993
5 La 0.4202 0.7500 0.1141
6 La 0.5798 0.2500 0.8859
7 La 0.6602 0.2500 0.5007
8 La 0.8720 0.7500 0.3073
9 Ir 0.3462 0.7500 0.7874
10 Ir 0.6538 0.2500 0.2126